Calculated X-ray powder pattern
Compound: TaC
Radiation: Cu Kα
Structure: DFT lattice parameters and positions (GGA-PBE)
Lines closer than 0.1° are merged.

Cell and atoms:
a = 3.0574 Å, b = 3.0574 Å, c = 2.8809 Å
α = 90.00°, β = 90.00°, γ = 120.00°
Fractional coordinates of all 2 atoms:
Ta 0.0000 0.0000 0.0000
C 0.3333 0.6667 0.5000

Peak list (6 most intense, 2θ from 5° to 70°, sorted by position)
- 31.0°, d = 2.881 Å, rel. 39
- 33.9°, d = 2.648 Å, rel. 100
- 46.6°, d = 1.949 Å, rel. 93
- 60.6°, d = 1.529 Å, rel. 22
- 64.7°, d = 1.440 Å, rel. 6
- 69.6°, d = 1.350 Å, rel. 25


Calculated X-ray powder pattern
Compound: ScTl2W
Radiation: Cu Kα
Structure: DFT lattice parameters and positions (GGA-PBE)
Lines closer than 0.1° are merged.

Cell and atoms:
a = 4.9065 Å, b = 4.9065 Å, c = 4.9065 Å
α = 60.00°, β = 60.00°, γ = 60.00°
Fractional coordinates of all 4 atoms:
Sc 0.0000 0.0000 0.0000
Tl 0.2500 0.2500 0.2500
Tl 0.7500 0.7500 0.7500
W 0.5000 0.5000 0.5000

Peak list (9 most intense, 2θ from 5° to 70°, sorted by position)
- 22.2°, d = 4.006 Å, rel. 11
- 25.7°, d = 3.469 Å, rel. 9
- 36.6°, d = 2.453 Å, rel. 100
- 43.2°, d = 2.092 Å, rel. 6
- 45.3°, d = 2.003 Å, rel. 3
- 52.8°, d = 1.735 Å, rel. 18
- 57.9°, d = 1.592 Å, rel. 3
- 59.6°, d = 1.552 Å, rel. 4
- 66.0°, d = 1.416 Å, rel. 36


Calculated X-ray powder pattern
Compound: Cs2ZnCl4
Radiation: Cu Kα
Structure: DFT lattice parameters and positions (GGA-PBE)
Lines closer than 0.1° are merged.

Cell and atoms:
a = 9.9870 Å, b = 7.4334 Å, c = 13.3991 Å
α = 90.00°, β = 90.00°, γ = 90.00°
Fractional coordinates of all 28 atoms:
Cs 0.0145 0.2500 0.1738
Cs 0.1385 0.7500 0.4038
Cs 0.3615 0.2500 0.9038
Cs 0.4855 0.7500 0.6738
Cs 0.5145 0.2500 0.3262
Cs 0.6385 0.7500 0.0962
Cs 0.8615 0.2500 0.5962
Cs 0.9855 0.7500 0.8262
Zn 0.2332 0.7500 0.0769
Zn 0.2668 0.2500 0.5769
Zn 0.7332 0.7500 0.4231
Zn 0.7668 0.2500 0.9231
Cl 0.0058 0.7500 0.0922
Cl 0.1799 0.0007 0.6534
Cl 0.1799 0.4993 0.6534
Cl 0.1847 0.2500 0.4169
Cl 0.3153 0.7500 0.9169
Cl 0.3201 0.5007 0.1534
Cl 0.3201 0.9993 0.1534
Cl 0.4942 0.2500 0.5922
Cl 0.5058 0.7500 0.4078
Cl 0.6799 0.0007 0.8466
Cl 0.6799 0.4993 0.8466
Cl 0.6847 0.2500 0.0831
Cl 0.8153 0.7500 0.5831
Cl 0.8201 0.5007 0.3466
Cl 0.8201 0.9993 0.3466
Cl 0.9942 0.2500 0.9078

Peak list (10 most intense, 2θ from 5° to 70°, sorted by position)
- 19.9°, d = 4.454 Å, rel. 95
- 22.5°, d = 3.960 Å, rel. 66
- 23.2°, d = 3.828 Å, rel. 90
- 23.9°, d = 3.717 Å, rel. 100
- 26.6°, d = 3.350 Å, rel. 50
- 27.6°, d = 3.231 Å, rel. 69
- 30.2°, d = 2.963 Å, rel. 38
- 30.7°, d = 2.910 Å, rel. 50
- 33.6°, d = 2.669 Å, rel. 39
- 36.2°, d = 2.480 Å, rel. 39


Calculated X-ray powder pattern
Compound: USi2O2
Radiation: Cu Kα
Structure: DFT lattice parameters and positions (GGA-PBE)
Lines closer than 0.1° are merged.

Cell and atoms:
a = 9.4374 Å, b = 9.4374 Å, c = 9.4374 Å
α = 126.66°, β = 126.66°, γ = 78.80°
Fractional coordinates of all 20 atoms:
U 0.0000 0.0000 0.0000
U 0.0000 0.0000 0.5000
U 0.0000 0.5000 0.0000
U 0.5000 0.0000 0.5000
Si 0.2271 0.2441 0.9831
Si 0.2390 0.7559 0.4831
Si 0.2441 0.2271 0.4831
Si 0.2441 0.7610 0.0169
Si 0.7559 0.2390 0.9831
Si 0.7559 0.7729 0.5169
Si 0.7610 0.2441 0.5169
Si 0.7729 0.7559 0.0169
O 0.1359 0.1926 0.5567
O 0.1359 0.5793 0.9433
O 0.1926 0.1359 0.0567
O 0.4207 0.8641 0.5567
O 0.5793 0.1359 0.4433
O 0.8074 0.8641 0.9433
O 0.8641 0.4207 0.0567
O 0.8641 0.8074 0.4433

Peak list (10 most intense, 2θ from 5° to 70°, sorted by position)
- 12.1°, d = 7.325 Å, rel. 100
- 21.1°, d = 4.217 Å, rel. 19
- 24.3°, d = 3.665 Å, rel. 76
- 24.4°, d = 3.646 Å, rel. 20
- 29.8°, d = 2.993 Å, rel. 52
- 38.9°, d = 2.316 Å, rel. 38
- 42.7°, d = 2.117 Å, rel. 22
- 49.8°, d = 1.832 Å, rel. 26
- 59.3°, d = 1.558 Å, rel. 14
- 67.6°, d = 1.386 Å, rel. 12